(1)
For Pu2CuGe4Rh3, DFT lattice parameters and positions (GGA-PBE) gives the calculated X-ray powder pattern in this record (CuKα).

Principal peaks in the range 2θ from 10° to 90°, by intensity:
| 2θ/deg | I/Imax | h k l |
| --- | --- | --- |
| 34.8 | 100 | 1 1 2 |
| 34.1 | 80 | 1 0 3 |
| 42.4 | 59 | 2 0 0 |
| 55.5 | 41 | 2 1 3 |
| 50.4 | 30 | 1 0 5 |
| 29.6 | 29 | 1 1 0 |
| 67.9 | 25 | 2 1 5 |
| 72.7 | 24 | 3 1 2 |

Structure:
```
data_Pu2CuGe4Rh3
_chemical_formula_sum 'Pu2 Cu1 Ge4 Rh3'
_cell_length_a 4.262
_cell_length_b 4.262
_cell_length_c 10.002
_cell_angle_alpha 90.00
_cell_angle_beta 90.00
_cell_angle_gamma 90.00
_symmetry_space_group_name_H-M 'P -4 m 2'
_symmetry_Int_Tables_number 115
loop_
_symmetry_equiv_pos_as_xyz
'x,y,z'
'y,-x,-z'
'-x,-y,z'
'-y,x,-z'
'-x,y,z'
'-y,-x,-z'
'x,-y,z'
'y,x,-z'
loop_
_atom_site_label
_atom_site_type_symbol
_atom_site_fract_x
_atom_site_fract_y
_atom_site_fract_z
Pu1 Pu 0.000 0.500 0.250
Cu1 Cu 0.000 0.000 0.500
Ge1 Ge 0.000 0.000 0.000
Ge2 Ge 0.000 0.500 0.629
Ge3 Ge 0.500 0.500 0.000
Rh1 Rh 0.000 0.500 0.872
Rh2 Rh 0.500 0.500 0.500
```

(2)
For TmPu2Cu2Ge2, DFT lattice parameters and positions (GGA-PBE) gives the calculated X-ray powder pattern in this record (CuKα).

Principal peaks in the range 2θ from 10° to 90°, by intensity:
| 2θ/deg | I/Imax | h k l |
| --- | --- | --- |
| 35.1 | 100 | 1 0 7 |
| 45.1 | 70 | 1 1 0 |
| 10.1 | 48 | 0 0 3 |
| 25.8 | 35 | 1 0 1 |
| 58.4 | 23 | 0 2 7 |
| 37.6 | 22 | 0 1 8 |
| 76.7 | 21 | 2 1 7 |
| 62.6 | 18 | 1 1 12 |

Structure:
```
data_TmPu2Cu2Ge2
_chemical_formula_sum 'Tm3 Pu6 Cu6 Ge6'
_cell_length_a 4.0198
_cell_length_b 4.0198
_cell_length_c 26.3733
_cell_angle_alpha 90.00
_cell_angle_beta 90.00
_cell_angle_gamma 120.00
_symmetry_space_group_name_H-M 'R -3 m'
_symmetry_Int_Tables_number 166
_symmetry_space_group_name_Hall '-R 3 2"'
loop_
_atom_site_label
_atom_site_type_symbol
_atom_site_fract_x
_atom_site_fract_y
_atom_site_fract_z
Tm1 Tm 0.0000 0.0000 0.0000
Pu1 Pu 0.0000 0.0000 0.1504
Cu1 Cu 0.0000 0.0000 0.4097
Ge1 Ge 0.0000 0.0000 0.2618
```

(3)
For PuZrCu2Ge2, DFT lattice parameters and positions (GGA-PBE) gives the calculated X-ray powder pattern in this record (CuKα).

Principal peaks in the range 2θ from 10° to 90°, by intensity:
| 2θ/deg | I/Imax | h k l |
| --- | --- | --- |
| 35.2 | 100 | 0 1 2 |
| 42.9 | 51 | 1 1 0 |
| 56.7 | 25 | 2 0 2 |
| 27.5 | 25 | 0 1 1 |
| 73.7 | 23 | 1 2 2 |
| 24.4 | 20 | 1 0 0 |
| 69.0 | 18 | 1 1 4 |
| 58.5 | 9 | 1 1 3 |

Structure:
```
data_PuZrCu2Ge2
_chemical_formula_sum 'Pu1 Zr1 Cu2 Ge2'
_cell_length_a 4.2123
_cell_length_b 4.2123
_cell_length_c 7.1393
_cell_angle_alpha 90.00
_cell_angle_beta 90.00
_cell_angle_gamma 120.00
_symmetry_space_group_name_H-M 'P -3 m 1'
_symmetry_Int_Tables_number 164
_symmetry_space_group_name_Hall '-P 3 2"'
loop_
_atom_site_label
_atom_site_type_symbol
_atom_site_fract_x
_atom_site_fract_y
_atom_site_fract_z
Pu1 Pu 0.0000 0.0000 0.0000
Zr1 Zr 0.0000 0.0000 0.5000
Cu1 Cu 0.3333 0.6667 0.7032
Ge1 Ge 0.3333 0.6667 0.2641
```